For Ca3Mn2Fe2O10, a DFT-relaxed cell (GGA+U, the Materials Project) gives the computed powder XRD pattern in this record (Cu Ka).
Kinematic intensities with the Lorentz-polarization factor, no thermal factor.

Most intense lines, 2θ = 10–90°, by angle:
| 2theta | d (Å) | I (rel.) | index |
| --- | --- | --- | --- |
| 12.3 | 7.206 | 39 | 0 0 2 |
| 17.1 | 5.194 | 35 | 1 0 -2 |
| 22.8 | 3.900 | 76 | 1 1 -1 |
| 24.7 | 3.606 | 79 | 0 0 4 |
| 31.9 | 2.809 | 75 | 2 0 -2 |
| 33.1 | 2.708 | 100 | 0 2 0 |
| 33.6 | 2.668 | 97 | 1 1 3 |
| 34.2 | 2.625 | 91 | 1 1 -5 |
| 34.6 | 2.589 | 20 | 1 0 4 |
| 46.6 | 1.950 | 91 | 2 2 -2 |
| 50.7 | 1.801 | 43 | 0 0 8 |
| 61.8 | 1.500 | 31 | 0 2 8 |

Structure:
```
Ca3Mn2Fe2O10
1.0
5.6202 0.0000 0.0000
0.0000 5.4166 0.0000
-5.2801 0.0000 14.4111
Ca Mn Fe O
6 4 4 20
Direct
0.0000 0.2343 0.0000 Ca
0.0000 0.7657 0.5000 Ca
0.1481 0.2641 0.2206 Ca
0.1481 0.7359 0.7206 Ca
0.4504 0.2603 0.5152 Ca
0.4504 0.7397 0.0152 Ca
0.0725 0.2530 0.6172 Mn
0.0725 0.7470 0.1172 Mn
0.5808 0.2446 0.1169 Mn
0.5808 0.7554 0.6169 Mn
0.4064 0.1953 0.8583 Fe
0.4064 0.8047 0.3583 Fe
0.7495 0.3085 0.3597 Fe
0.7495 0.6915 0.8597 Fe
0.0023 0.2285 0.4736 O
0.0023 0.7715 0.9736 O
0.1501 0.2763 0.7468 O
0.1501 0.7237 0.2468 O
0.3133 0.4887 0.1188 O
0.3133 0.5113 0.6188 O
0.3152 0.0108 0.1226 O
0.3152 0.9892 0.6226 O
0.3833 0.2654 0.9758 O
0.3833 0.7346 0.4758 O
0.4386 0.1629 0.3631 O
0.4386 0.8371 0.8631 O
0.7103 0.3466 0.8645 O
0.7103 0.6534 0.3645 O
0.7714 0.2331 0.2448 O
0.7714 0.7669 0.7448 O
0.8042 0.0028 0.0913 O
0.8042 0.9972 0.5913 O
0.8128 0.4875 0.0909 O
0.8128 0.5125 0.5909 O
```